Entry 1:
# ErAl12Fe4
Computed X-ray diffraction stick pattern, a wavelength of 1.5418 Å. Input: a DFT-relaxed cell (PBE, Alexandria).
Neutral-atom scattering factors, no anomalous dispersion.

Most intense lines, 10 to 90 degrees two-theta, in order of rising 2θ:
| d (Å) | 2θ/deg | I_rel |
| --- | --- | --- |
| 6.344 | 14.0 | 100.0 |
| 4.486 | 19.8 | 38.4 |
| 3.663 | 24.3 | 86.7 |
| 3.172 | 28.1 | 77.8 |
| 2.837 | 31.5 | 43.3 |
| 2.398 | 37.5 | 36.0 |
| 2.243 | 40.2 | 87.2 |
| 1.586 | 58.2 | 55.1 |

```
data_ErAl12Fe4
_chemical_formula_sum 'Er2 Al24 Fe8'
_cell_length_a 8.971
_cell_length_b 8.971
_cell_length_c 8.971
_cell_angle_alpha 90.00
_cell_angle_beta 90.00
_cell_angle_gamma 90.00
_space_group_name_H-M_alt 'I m -3 m'
_space_group_IT_number 229
_space_group_name_Hall '-I 4 2 3'
loop_
_atom_site_label
_atom_site_type_symbol
_atom_site_fract_x
_atom_site_fract_y
_atom_site_fract_z
Er1 Er 0.000 0.000 0.000
Al1 Al 0.000 0.263 0.263
Fe1 Fe 0.250 0.250 0.250
```

---

Entry 2:
# La2ErAl12Fe3
Computed X-ray diffraction stick pattern, a wavelength of 1.5418 Å. Input: a DFT-relaxed cell (PBE, Alexandria).
Neutral-atom scattering factors, no anomalous dispersion.

Most intense lines, 10 to 90 degrees two-theta, in order of rising 2θ:
| d (Å) | 2θ/deg | I_rel |
| --- | --- | --- |
| 4.275 | 20.8 | 100.0 |
| 3.633 | 24.5 | 47.0 |
| 3.448 | 25.8 | 82.8 |
| 3.374 | 26.4 | 60.3 |
| 2.684 | 33.4 | 87.7 |
| 2.543 | 35.3 | 92.9 |
| 2.137 | 42.3 | 58.3 |
| 1.806 | 50.5 | 48.7 |

```
data_La2ErAl12Fe3
_chemical_formula_sum 'La6 Er3 Al36 Fe9'
_cell_length_a 8.5493
_cell_length_b 8.5493
_cell_length_c 18.9557
_cell_angle_alpha 90.00
_cell_angle_beta 90.00
_cell_angle_gamma 120.00
_space_group_name_H-M_alt 'R -3 m'
_space_group_IT_number 166
_space_group_name_Hall '-R 3 2"'
loop_
_atom_site_label
_atom_site_type_symbol
_atom_site_fract_x
_atom_site_fract_y
_atom_site_fract_z
La1 La 0.0000 0.0000 0.0815
Er1 Er 0.0000 0.0000 0.5000
Al1 Al 0.0885 0.5443 0.8838
Al2 Al 0.1021 0.5511 0.3204
Fe1 Fe 0.0000 0.5000 0.0000
```

---

Entry 3:
# ErTmAlFe
Computed X-ray diffraction stick pattern, a wavelength of 1.5418 Å. Input: a DFT-relaxed cell (PBE, Alexandria).
Neutral-atom scattering factors, no anomalous dispersion.

Most intense lines, 10 to 90 degrees two-theta, in order of rising 2θ:
| d (Å) | 2θ/deg | I_rel |
| --- | --- | --- |
| 3.469 | 25.7 | 42.9 |
| 2.453 | 36.6 | 100.0 |
| 2.003 | 45.3 | 13.0 |
| 1.735 | 52.8 | 17.4 |
| 1.551 | 59.6 | 17.7 |
| 1.416 | 66.0 | 35.4 |
| 1.227 | 77.9 | 11.0 |
| 1.097 | 89.3 | 16.1 |

```
data_ErTmAlFe
_chemical_formula_sum 'Er4 Tm4 Al4 Fe4'
_cell_length_a 6.938
_cell_length_b 6.938
_cell_length_c 6.938
_cell_angle_alpha 90.00
_cell_angle_beta 90.00
_cell_angle_gamma 90.00
_space_group_name_H-M_alt 'F -4 3 m'
_space_group_IT_number 216
_space_group_name_Hall 'F -4 2 3'
loop_
_atom_site_label
_atom_site_type_symbol
_atom_site_fract_x
_atom_site_fract_y
_atom_site_fract_z
Er1 Er 0.000 0.000 0.000
Tm1 Tm 0.000 0.000 0.500
Al1 Al 0.250 0.250 0.250
Fe1 Fe 0.250 0.250 0.750
```

---

Entry 4:
# Er2AlGa12
Computed X-ray diffraction stick pattern, a wavelength of 1.5418 Å. Input: a DFT-relaxed cell (PBE, Alexandria).
Neutral-atom scattering factors, no anomalous dispersion.

Most intense lines, 10 to 90 degrees two-theta, in order of rising 2θ:
| d (Å) | 2θ/deg | I_rel |
| --- | --- | --- |
| 8.475 | 10.4 | 27.7 |
| 2.964 | 30.2 | 34.9 |
| 2.771 | 32.3 | 100.0 |
| 2.602 | 34.5 | 27.5 |
| 2.411 | 37.3 | 42.4 |
| 2.335 | 38.6 | 21.7 |
| 2.091 | 43.3 | 42.8 |
| 2.073 | 43.7 | 63.4 |

```
data_Er2AlGa12
_chemical_formula_sum 'Er4 Al2 Ga24'
_cell_length_a 5.863
_cell_length_b 5.863
_cell_length_c 16.951
_cell_angle_alpha 90.00
_cell_angle_beta 90.00
_cell_angle_gamma 90.00
_space_group_name_H-M_alt 'P 4/n b m'
_space_group_IT_number 125
loop_
_space_group_symop_operation_xyz
'x,y,z'
'-x,-y,-z'
'-y+1/2,x,z'
'y+1/2,-x,-z'
'-x+1/2,-y+1/2,z'
'x+1/2,y+1/2,-z'
'y,-x+1/2,z'
'-y,x+1/2,-z'
'x,-y+1/2,-z'
'-x,y+1/2,z'
'-y+1/2,-x+1/2,-z'
'y+1/2,x+1/2,z'
'-x+1/2,y,-z'
'x+1/2,-y,z'
'y,x,-z'
'-y,-x,z'
loop_
_atom_site_label
_atom_site_type_symbol
_atom_site_fract_x
_atom_site_fract_y
_atom_site_fract_z
Er1 Er 0.250 0.750 0.226
Al1 Al 0.250 0.750 0.500
Ga1 Ga 0.002 0.502 0.395
Ga2 Ga 0.075 0.575 0.934
Ga3 Ga 0.250 0.250 0.153
Ga4 Ga 0.250 0.250 0.298
```